This entry pairs a crystal structure of PaInCl6 with its computed X-ray powder pattern. Radiation: Cu Kα (weighted mean of Kα1 and Kα2). Structure: the GGA-PBE geometry in Alexandria.

Structure:
```
data_PaInCl6
_chemical_formula_sum 'Pa2 In2 Cl12'
_symmetry_space_group_name_H-M 'P 1'
_symmetry_Int_Tables_number 1
_cell_length_a 7.392
_cell_length_b 11.945
_cell_length_c 7.252
_cell_angle_alpha 90.00
_cell_angle_beta 104.19
_cell_angle_gamma 90.00
loop_
_symmetry_equiv_pos_as_xyz
'x,y,z'
loop_
_atom_site_label
_atom_site_fract_x
_atom_site_fract_y
_atom_site_fract_z
Pa1 0.000 0.000 0.000
Pa2 0.500 0.500 0.000
In1 0.000 0.500 0.500
In2 0.500 0.000 0.500
Cl1 0.198 0.149 0.214
Cl2 0.198 0.851 0.214
Cl3 0.230 0.000 0.787
Cl4 0.270 0.500 0.213
Cl5 0.302 0.351 0.786
Cl6 0.302 0.649 0.786
Cl7 0.698 0.351 0.214
Cl8 0.698 0.649 0.214
Cl9 0.730 0.500 0.787
Cl10 0.770 0.000 0.213
Cl11 0.802 0.149 0.786
Cl12 0.802 0.851 0.786
```

Most intense lines, 10° ≤ 2θ ≤ 90°, by angle:
2θ 14.41, d = 6.145 Å, I = 23
2θ 14.83, d = 5.973 Å, I = 73
2θ 17.05, d = 5.200 Å, I = 100
2θ 21.11, d = 4.209 Å, I = 54
2θ 29.48, d = 3.030 Å, I = 21
2θ 29.96, d = 2.982 Å, I = 65
2θ 30.96, d = 2.888 Å, I = 27
2θ 43.34, d = 2.088 Å, I = 22